Computed powder diffraction line list
Compound: Li7Mn5O12
Radiation: Cu Kα (λ = 1.5418 Å)
Structure: DFT lattice parameters and positions (PBE+U)
No peak broadening, texture or thermal motion is included.

Cell and atoms:
Unit cell a=5.2253 b=8.6242 c=9.8007 alpha=90.00 beta=97.26 gamma=90.00
Space group C2/m (No. 12)
Symmetry-distinct sites (fractional):
Li: 0.0000 0.0000 0.0000 (multiplicity 2)
Li: 0.2479 0.1635 0.2476 (multiplicity 8)
Li: 0.2486 0.5000 0.2425 (multiplicity 4)
Mn: 0.0000 0.1667 0.5000 (multiplicity 4)
Mn: 0.0000 0.3321 0.0000 (multiplicity 4)
Mn: 0.0000 0.5000 0.5000 (multiplicity 2)
O: 0.0984 0.0000 0.3796 (multiplicity 4)
O: 0.1002 0.3328 0.3823 (multiplicity 8)
O: 0.1075 0.5000 0.8880 (multiplicity 4)
O: 0.1569 0.1786 0.8912 (multiplicity 8)

Largest 6 diffraction maxima, by intensity, 10 to 90 degrees two-theta:
| d [Å] | intensity | (hkl) |
| --- | --- | --- |
| 4.861 | 100 | 0 0 2 |
| 2.048 | 57 | 1 3 -3 |
| 2.176 | 35 | 2 0 2 |
| 2.471 | 23 | 1 3 -1 |
| 2.591 | 20 | 2 0 0 |
| 1.494 | 17 | 1 3 5 |

Computed powder diffraction line list
Compound: Na3NiO3
Radiation: Cu Kα (λ = 1.5418 Å)
Structure: DFT lattice parameters and positions (PBE+U)
No peak broadening, texture or thermal motion is included.

Cell and atoms:
Unit cell a=5.7568 b=5.8659 c=6.3503 alpha=64.65 beta=89.17 gamma=85.88
Space group P-1 (No. 2)
Symmetry-distinct sites (fractional):
Na: 0.0604 0.2684 0.4449 (multiplicity 2)
Na: 0.1416 0.2628 0.9814 (multiplicity 2)
Na: 0.4362 0.7601 0.7447 (multiplicity 2)
Ni: 0.3708 0.6868 0.3127 (multiplicity 2)
O: 0.2415 0.5991 0.0996 (multiplicity 2)
O: 0.2541 0.9686 0.3449 (multiplicity 2)
O: 0.3078 0.4202 0.6282 (multiplicity 2)

Largest 6 diffraction maxima, by intensity, 10 to 90 degrees two-theta:
| d [Å] | intensity | (hkl) |
| --- | --- | --- |
| 5.740 | 100 | 1 0 0 |
| 4.095 | 84 | 1 0 -1 |
| 2.449 | 74 | 2 -1 0 |
| 2.548 | 74 | 1 0 2 |
| 2.393 | 67 | 1 2 2 |
| 2.054 | 66 | 1 1 -2 |

Computed powder diffraction line list
Compound: Mo2P3O12
Radiation: Cu Kα (λ = 1.5418 Å)
Structure: DFT lattice parameters and positions (PBE+U)
No peak broadening, texture or thermal motion is included.

Cell and atoms:
Unit cell a=8.5610 b=8.5863 c=9.0235 alpha=61.64 beta=61.85 gamma=60.43
Space group P-1 (No. 2)
Symmetry-distinct sites (fractional):
Mo: 0.1349 0.1396 0.0749 (multiplicity 2)
Mo: 0.3578 0.3536 0.4396 (multiplicity 2)
P: 0.0403 0.7454 0.2477 (multiplicity 2)
P: 0.2452 0.5441 0.7441 (multiplicity 2)
P: 0.4659 0.0287 0.2521 (multiplicity 2)
O: 0.0291 0.7990 0.0636 (multiplicity 2)
O: 0.1027 0.8812 0.2508 (multiplicity 2)
O: 0.1052 0.7410 0.7557 (multiplicity 2)
O: 0.1604 0.2452 0.6140 (multiplicity 2)
O: 0.1759 0.5384 0.2998 (multiplicity 2)
O: 0.1926 0.3869 0.9074 (multiplicity 2)
O: 0.2545 0.5298 0.5747 (multiplicity 2)
O: 0.2787 0.1039 0.2196 (multiplicity 2)
O: 0.3672 0.9931 0.9173 (multiplicity 2)
O: 0.4429 0.5364 0.7209 (multiplicity 2)
O: 0.4676 0.1709 0.3106 (multiplicity 2)
O: 0.4830 0.8346 0.4004 (multiplicity 2)

Largest 6 diffraction maxima, by intensity, 10 to 90 degrees two-theta:
| d [Å] | intensity | (hkl) |
| --- | --- | --- |
| 4.506 | 100 | 1 0 -1 |
| 4.287 | 47 | 1 2 1 |
| 3.728 | 43 | 2 1 0 |
| 6.228 | 43 | 1 0 1 |
| 3.103 | 39 | 2 0 2 |
| 2.832 | 37 | 2 1 3 |

Computed powder diffraction line list
Compound: Fe4O3F5
Radiation: Cu Kα (λ = 1.5418 Å)
Structure: DFT lattice parameters and positions (PBE+U)
No peak broadening, texture or thermal motion is included.

Cell and atoms:
Unit cell a=19.1864 b=6.1854 c=4.8001 alpha=90.00 beta=94.10 gamma=90.00
Space group Cm (No. 8)
Symmetry-distinct sites (fractional):
Fe: 0.0000 0.0000 0.0000 (multiplicity 2)
Fe: 0.0027 0.5000 0.0098 (multiplicity 2)
Fe: 0.1305 0.2637 0.5209 (multiplicity 4)
Fe: 0.2459 0.0000 0.9864 (multiplicity 2)
Fe: 0.2553 0.5000 0.0193 (multiplicity 2)
Fe: 0.3803 0.2579 0.5216 (multiplicity 4)
O: 0.0783 0.5000 0.3120 (multiplicity 2)
O: 0.1708 0.0000 0.6852 (multiplicity 2)
O: 0.1803 0.5000 0.7190 (multiplicity 2)
O: 0.3287 0.5000 0.3109 (multiplicity 2)
O: 0.4262 0.0000 0.7087 (multiplicity 2)
O: 0.4265 0.5000 0.6991 (multiplicity 2)
F: 0.0531 0.2622 0.8105 (multiplicity 4)
F: 0.0766 0.0000 0.3063 (multiplicity 2)
F: 0.2034 0.2598 0.2148 (multiplicity 4)
F: 0.3036 0.2570 0.8120 (multiplicity 4)
F: 0.3261 0.0000 0.3104 (multiplicity 2)
F: 0.4520 0.2364 0.2114 (multiplicity 4)

Largest 6 diffraction maxima, by intensity, 10 to 90 degrees two-theta:
| d [Å] | intensity | (hkl) |
| --- | --- | --- |
| 2.598 | 100 | 4 2 0 |
| 3.512 | 96 | 4 0 -1 |
| 3.269 | 89 | 4 0 1 |
| 1.795 | 64 | 8 2 -1 |
| 1.727 | 51 | 8 2 1 |
| 1.418 | 40 | 0 2 3 |

Computed powder diffraction line list
Compound: Li5Fe5P6O24
Radiation: Cu Kα (λ = 1.5418 Å)
Structure: DFT lattice parameters and positions (PBE+U)
No peak broadening, texture or thermal motion is included.

Cell and atoms:
Unit cell a=8.4616 b=8.5826 c=8.5873 alpha=61.74 beta=62.29 gamma=62.21
Space group P1 (No. 1)
Symmetry-distinct sites (fractional):
Li: 0.0000 0.0000 0.0000 (multiplicity 1)
Li: 0.0121 0.8250 0.3481 (multiplicity 1)
Li: 0.3487 0.0132 0.8270 (multiplicity 1)
Li: 0.8228 0.3501 0.0157 (multiplicity 1)
Li: 0.9081 0.2998 0.5137 (multiplicity 1)
Fe: 0.1605 0.1592 0.1516 (multiplicity 1)
Fe: 0.3007 0.3064 0.2981 (multiplicity 1)
Fe: 0.5094 0.5177 0.5110 (multiplicity 1)
Fe: 0.6462 0.6638 0.6569 (multiplicity 1)
Fe: 0.8020 0.8109 0.8118 (multiplicity 1)
P: 0.1045 0.4129 0.6944 (multiplicity 1)
P: 0.2089 0.9106 0.6095 (multiplicity 1)
P: 0.4098 0.7007 0.1151 (multiplicity 1)
P: 0.6045 0.2121 0.9131 (multiplicity 1)
P: 0.7042 0.1215 0.4136 (multiplicity 1)
P: 0.9077 0.6122 0.2096 (multiplicity 1)
O: 0.0448 0.8463 0.6539 (multiplicity 1)
O: 0.0568 0.4104 0.2301 (multiplicity 1)
O: 0.1117 0.2535 0.8848 (multiplicity 1)
O: 0.1166 0.3525 0.5449 (multiplicity 1)
O: 0.1871 0.9708 0.7600 (multiplicity 1)
O: 0.2050 0.0745 0.4185 (multiplicity 1)
O: 0.2504 0.8920 0.1123 (multiplicity 1)
O: 0.2645 0.4892 0.6238 (multiplicity 1)
O: 0.3416 0.5462 0.1523 (multiplicity 1)
O: 0.4044 0.7540 0.5802 (multiplicity 1)
O: 0.4063 0.2267 0.0660 (multiplicity 1)
O: 0.4979 0.6445 0.2606 (multiplicity 1)
O: 0.5337 0.1751 0.3583 (multiplicity 1)
O: 0.5561 0.7356 0.9112 (multiplicity 1)
O: 0.5922 0.4021 0.7460 (multiplicity 1)
O: 0.6438 0.0500 0.8528 (multiplicity 1)
O: 0.6814 0.2653 0.4870 (multiplicity 1)
O: 0.7264 0.9193 0.5624 (multiplicity 1)
O: 0.7534 0.5806 0.4085 (multiplicity 1)
O: 0.7578 0.1853 0.9766 (multiplicity 1)
O: 0.8461 0.6513 0.0482 (multiplicity 1)
O: 0.8943 0.1093 0.2498 (multiplicity 1)
O: 0.9027 0.5629 0.7346 (multiplicity 1)
O: 0.9706 0.7629 0.1841 (multiplicity 1)

Largest 6 diffraction maxima, by intensity, 10 to 90 degrees two-theta:
| d [Å] | intensity | (hkl) |
| --- | --- | --- |
| 4.405 | 100 | 0 1 -1 |
| 3.737 | 71 | 0 2 1 |
| 2.543 | 68 | -2 1 1 |
| 3.707 | 65 | 1 0 2 |
| 3.679 | 64 | 2 1 0 |
| 2.730 | 47 | 1 3 2 |

Computed powder diffraction line list
Compound: BaNaLaWO6
Radiation: Cu Kα (λ = 1.5418 Å)
Structure: DFT lattice parameters and positions (PBE+U)
No peak broadening, texture or thermal motion is included.

Cell and atoms:
Unit cell a=8.6475 b=8.6475 c=8.6475 alpha=90.00 beta=90.00 gamma=90.00
Space group F-43m (No. 216)
Symmetry-distinct sites (fractional):
Ba: 0.0000 0.0000 0.0000 (multiplicity 4)
Na: 0.0000 0.0000 0.5000 (multiplicity 4)
La: 0.2500 0.2500 0.7500 (multiplicity 4)
W: 0.2500 0.2500 0.2500 (multiplicity 4)
O: 0.0238 0.2500 0.2500 (multiplicity 24)

Largest 6 diffraction maxima, by intensity, 10 to 90 degrees two-theta:
| d [Å] | intensity | (hkl) |
| --- | --- | --- |
| 3.057 | 100 | 2 2 0 |
| 1.765 | 41 | 4 2 2 |
| 2.162 | 31 | 4 0 0 |
| 4.324 | 24 | 2 0 0 |
| 1.156 | 22 | 6 4 2 |
| 1.529 | 19 | 4 4 0 |

Computed powder diffraction line list
Compound: NaMgMnO2
Radiation: Cu Kα (λ = 1.5418 Å)
Structure: DFT lattice parameters and positions (PBE+U)
No peak broadening, texture or thermal motion is included.

Cell and atoms:
Unit cell a=5.5834 b=3.2215 c=8.5474 alpha=90.00 beta=103.30 gamma=90.00
Space group Cm (No. 8)
Symmetry-distinct sites (fractional):
Na: 0.0000 0.0000 0.0000 (multiplicity 2)
Mg: 0.3759 0.5000 0.5978 (multiplicity 2)
Mn: 0.4373 0.0000 0.2961 (multiplicity 2)
O: 0.1732 0.0000 0.4958 (multiplicity 2)
O: 0.2282 0.5000 0.1758 (multiplicity 2)

Largest 6 diffraction maxima, by intensity, 10 to 90 degrees two-theta:
| d [Å] | intensity | (hkl) |
| --- | --- | --- |
| 8.318 | 100 | 0 0 1 |
| 2.191 | 33 | 1 1 2 |
| 1.611 | 18 | 0 2 0 |
| 2.211 | 17 | 2 0 -3 |
| 2.541 | 17 | 1 1 1 |
| 2.727 | 12 | 1 1 -1 |

Q: Number 5 is which compound?
A: Li5Fe5P6O24